No. 1
Mg2TaW: simulated powder X-ray diffraction pattern (Cu Kα (λ = 1.5418 Å)), based on a cell relaxed with GGA-PBE.
Kinematic intensities with the Lorentz-polarization factor, no thermal factor.

Principal peaks in the range 10° ≤ 2θ ≤ 80°, most intense first:
d [Å], 2theta, I/Imax, (hkl)
6.750, 13.12, 100, 0 0 1
2.393, 37.59, 59, 1 0 2
2.399, 37.48, 37, 1 1 0
2.261, 39.87, 28, 1 1 1
1.875, 48.55, 23, 1 0 3
1.384, 67.70, 21, 2 1 2

Crystal structure
a = 3.3932 Å, b = 3.3932 Å, c = 6.7502 Å
α = 90.00°, β = 90.00°, γ = 90.00°
Space group P4mm (No. 99)
Unique sites:
1 Mg 0.0000 0.0000 0.0000
2 Mg 0.5000 0.5000 0.2746
3 Ta 0.0000 0.0000 0.5583
4 W 0.5000 0.5000 0.7320

---

No. 2
U3O10: simulated powder X-ray diffraction pattern (Cu Kα (λ = 1.5418 Å)), based on a cell relaxed with GGA-PBE.
Kinematic intensities with the Lorentz-polarization factor, no thermal factor.

Principal peaks in the range 10° ≤ 2θ ≤ 80°, most intense first:
d [Å], 2theta, I/Imax, (hkl)
4.289, 20.71, 100, 1 1 0
4.670, 19.00, 56, 0 1 1
3.250, 27.45, 48, 1 0 2
3.401, 26.21, 40, 1 -1 0
3.120, 28.61, 32, 0 1 2
3.144, 28.39, 24, 1 -1 1

Crystal structure
a = 5.5270 Å, b = 5.8703 Å, c = 7.2297 Å
α = 76.97°, β = 72.10°, γ = 73.65°
Space group P-1 (No. 2)
Unique sites:
1 U 0.0000 0.0000 0.0000
2 U 0.4444 0.5695 0.2666
3 O 0.0995 0.9370 0.2358
4 O 0.1973 0.3944 0.3331
5 O 0.3028 0.2384 0.8386
6 O 0.3055 0.6917 0.9522
7 O 0.3350 0.6833 0.5443

---

No. 3
Ti7AlBi2H2: simulated powder X-ray diffraction pattern (Cu Kα (λ = 1.5418 Å)), based on a cell relaxed with GGA-PBE.
Kinematic intensities with the Lorentz-polarization factor, no thermal factor.

Principal peaks in the range 10° ≤ 2θ ≤ 80°, most intense first:
d [Å], 2theta, I/Imax, (hkl)
2.299, 39.19, 100, 0 2 3
3.631, 24.51, 93, 1 1 1
3.531, 25.23, 81, 1 1 -2
2.016, 44.97, 79, 2 2 -1
2.356, 38.19, 70, 2 0 2
2.850, 31.39, 58, 0 2 0

Crystal structure
a = 5.7123 Å, b = 5.6965 Å, c = 11.9001 Å
α = 90.00°, β = 101.08°, γ = 90.00°
Space group C2/m (No. 12)
Unique sites:
1 Ti 0.0000 0.0000 0.0000
2 Ti 0.1532 0.0000 0.4035
3 Ti 0.1806 0.2487 0.8273
4 Al 0.0000 0.5000 0.0000
5 Bi 0.1413 0.5000 0.3584
6 H 0.0678 0.0000 0.1666

---

No. 4
Sm3Dy2Tm: simulated powder X-ray diffraction pattern (Cu Kα (λ = 1.5418 Å)), based on a cell relaxed with GGA-PBE.
Kinematic intensities with the Lorentz-polarization factor, no thermal factor.

Principal peaks in the range 10° ≤ 2θ ≤ 80°, most intense first:
d [Å], 2theta, I/Imax, (hkl)
2.812, 31.82, 100, 2 2 1
2.674, 33.51, 86, 4 2 -1
2.882, 31.03, 50, 6 0 0
1.528, 60.61, 44, 6 4 0
1.802, 50.66, 38, 0 4 0
3.099, 28.81, 37, 2 0 -2

Crystal structure
a = 17.7843 Å, b = 7.2062 Å, c = 6.2439 Å
α = 90.00°, β = 103.54°, γ = 90.00°
Space group C2/c (No. 15)
Unique sites:
1 Sm 0.0000 0.1265 0.2500
2 Sm 0.1670 0.1254 0.0258
3 Dy 0.1657 0.3759 0.5288
4 Tm 0.0000 0.3770 0.7500

---

No. 5
PmHoO3: simulated powder X-ray diffraction pattern (Cu Kα (λ = 1.5418 Å)), based on a cell relaxed with GGA-PBE.
Kinematic intensities with the Lorentz-polarization factor, no thermal factor.

Principal peaks in the range 10° ≤ 2θ ≤ 80°, most intense first:
d [Å], 2theta, I/Imax, (hkl)
3.038, 29.40, 100, 0 4 1
2.962, 30.17, 78, 1 1 1
2.033, 44.58, 59, 1 3 2
1.689, 54.30, 56, 1 7 1
2.842, 31.48, 48, 1 3 0
2.908, 30.74, 37, 0 0 2

Crystal structure
a = 3.5472 Å, b = 14.2509 Å, c = 5.8163 Å
α = 90.00°, β = 90.00°, γ = 90.00°
Space group Cmc2_1 (No. 36)
Unique sites:
1 Pm 0.0000 0.1814 0.0000
2 Ho 0.0000 0.4560 0.9434
3 O 0.0000 0.0263 0.1581
4 O 0.0000 0.3161 0.7741
5 O 0.0000 0.3780 0.2781

---

No. 6
TbPm7Tl4: simulated powder X-ray diffraction pattern (Cu Kα (λ = 1.5418 Å)), based on a cell relaxed with GGA-PBE.
Kinematic intensities with the Lorentz-polarization factor, no thermal factor.

Principal peaks in the range 10° ≤ 2θ ≤ 80°, most intense first:
d [Å], 2theta, I/Imax, (hkl)
2.933, 30.48, 100, 0 2 0
2.566, 34.97, 53, 5 1 -1
3.161, 28.23, 39, 4 0 -3
2.785, 32.14, 32, 3 1 1
3.058, 29.20, 31, 1 1 2
2.151, 42.01, 27, 4 2 -3

Crystal structure
a = 14.9199 Å, b = 5.8704 Å, c = 10.4658 Å
α = 90.00°, β = 122.90°, γ = 90.00°
Space group C2/m (No. 12)
Unique sites:
1 Tb 0.0000 0.0000 0.0000
2 Pm 0.0000 0.5000 0.0000
3 Pm 0.0620 0.0000 0.3946
4 Pm 0.2046 0.0000 0.8821
5 Pm 0.2288 0.5000 0.6687
6 Tl 0.0565 0.5000 0.7424
7 Tl 0.1862 0.5000 0.3341

---

No. 7
NbTlCo2Sb: simulated powder X-ray diffraction pattern (Cu Kα (λ = 1.5418 Å)), based on a cell relaxed with GGA-PBE.
Kinematic intensities with the Lorentz-polarization factor, no thermal factor.

Principal peaks in the range 10° ≤ 2θ ≤ 80°, most intense first:
d [Å], 2theta, I/Imax, (hkl)
2.777, 32.23, 100, 1 1 1
3.469, 25.68, 99, 1 0 1
2.318, 38.86, 98, 2 0 0
1.734, 52.78, 80, 2 0 2
3.278, 27.21, 73, 1 1 0
2.615, 34.29, 69, 0 0 2

Crystal structure
a = 4.6354 Å, b = 4.6354 Å, c = 5.2298 Å
α = 90.00°, β = 90.00°, γ = 90.00°
Space group P4/mmm (No. 123)
Unique sites:
1 Nb 0.0000 0.0000 0.0000
2 Tl 0.5000 0.5000 0.0000
3 Co 0.0000 0.5000 0.5000
4 Sb 0.0000 0.0000 0.5000

---

No. 8
Ce5Ir3: simulated powder X-ray diffraction pattern (Cu Kα (λ = 1.5418 Å)), based on a cell relaxed with GGA-PBE.
Kinematic intensities with the Lorentz-polarization factor, no thermal factor.

Principal peaks in the range 10° ≤ 2θ ≤ 80°, most intense first:
d [Å], 2theta, I/Imax, (hkl)
2.469, 36.39, 100, 4 1 1
2.492, 36.04, 91, 4 2 0
2.754, 32.51, 57, 3 2 1
2.590, 34.63, 49, 2 1 2
2.663, 33.66, 49, 2 0 2
1.959, 46.36, 32, 5 2 1

Crystal structure
a = 11.1456 Å, b = 11.1456 Å, c = 6.0627 Å
α = 90.00°, β = 90.00°, γ = 90.00°
Space group P4/ncc (No. 130, origin choice 2)
Unique sites:
1 Ce 0.0355 0.1600 0.1572
2 Ce 0.2500 0.7500 0.0000
3 Ir 0.0926 0.5926 0.7500
4 Ir 0.2500 0.2500 0.4216

---

No. 9
Sb2Pb3: simulated powder X-ray diffraction pattern (Cu Kα (λ = 1.5418 Å)), based on a cell relaxed with GGA-PBE.
Kinematic intensities with the Lorentz-polarization factor, no thermal factor.

Principal peaks in the range 10° ≤ 2θ ≤ 80°, most intense first:
d [Å], 2theta, I/Imax, (hkl)
3.235, 27.57, 100, 0 1 5
2.291, 39.33, 41, 1 1 0
2.285, 39.44, 34, 1 0 10
1.870, 48.71, 22, 2 0 5
1.322, 71.36, 20, 3 0 0
1.448, 64.32, 19, 1 2 5

Crystal structure
a = 4.5813 Å, b = 4.5813 Å, c = 27.9453 Å
α = 90.00°, β = 90.00°, γ = 120.00°
Space group R-3m (No. 166, hexagonal axes)
Unique sites:
1 Sb 0.0000 0.0000 0.0990
2 Pb 0.0000 0.0000 0.2903
3 Pb 0.0000 0.0000 0.5000

---

No. 10
Na17CdIn11: simulated powder X-ray diffraction pattern (Cu Kα (λ = 1.5418 Å)), based on a cell relaxed with GGA-PBE.
Kinematic intensities with the Lorentz-polarization factor, no thermal factor.

Principal peaks in the range 10° ≤ 2θ ≤ 80°, most intense first:
d [Å], 2theta, I/Imax, (hkl)
4.814, 18.43, 100, 2 2 -1
2.511, 35.76, 70, 3 5 -1
2.781, 32.19, 64, 1 5 1
2.310, 38.99, 26, 1 5 -3
8.336, 10.61, 24, 0 0 1
2.315, 38.90, 24, 0 4 3

Crystal structure
a = 11.7689 Å, b = 16.6698 Å, c = 10.1944 Å
α = 90.00°, β = 124.98°, γ = 90.00°
Space group Cm (No. 8)
Unique sites:
1 Na 0.0000 0.0000 0.0000
2 Na 0.0010 0.0000 0.6539
3 Na 0.0665 0.3438 0.0628
4 Na 0.1545 0.5000 0.3058
5 Na 0.1584 0.1550 0.2446
6 Na 0.1768 0.1749 0.6546
7 Na 0.1903 0.5000 0.9314
8 Na 0.2973 0.2956 0.9657
9 Na 0.4098 0.0000 0.3743
10 Na 0.4536 0.1392 0.6541
11 Na 0.4863 0.2042 0.3413
12 Cd 0.1866 0.0000 0.4784
13 In 0.0002 0.1847 0.8366
14 In 0.2235 0.4081 0.6517
15 In 0.2769 0.0928 0.0209
16 In 0.3207 0.3151 0.4683
17 In 0.3738 0.0000 0.8398
18 In 0.4106 0.4087 0.2835

---

No. 11
PrMg2CuSi2: simulated powder X-ray diffraction pattern (Cu Kα (λ = 1.5418 Å)), based on a cell relaxed with GGA-PBE.
Kinematic intensities with the Lorentz-polarization factor, no thermal factor.

Principal peaks in the range 10° ≤ 2θ ≤ 80°, most intense first:
d [Å], 2theta, I/Imax, (hkl)
3.004, 29.74, 100, 1 1 2
3.644, 24.43, 87, 1 1 0
2.577, 34.82, 74, 2 0 0
1.848, 49.30, 44, 2 0 4
2.653, 33.79, 33, 0 0 4
2.145, 42.14, 29, 1 1 4

Crystal structure
a = 5.1534 Å, b = 5.1534 Å, c = 10.6103 Å
α = 90.00°, β = 90.00°, γ = 90.00°
Space group I4/mmm (No. 139)
Unique sites:
1 Pr 0.0000 0.0000 0.0000
2 Mg 0.0000 0.5000 0.2500
3 Cu 0.0000 0.0000 0.5000
4 Si 0.0000 0.0000 0.2930

---

No. 12
TmCuHg: simulated powder X-ray diffraction pattern (Cu Kα (λ = 1.5418 Å)), based on a cell relaxed with GGA-PBE.
Kinematic intensities with the Lorentz-polarization factor, no thermal factor.

Principal peaks in the range 10° ≤ 2θ ≤ 80°, most intense first:
d [Å], 2theta, I/Imax, (hkl)
2.651, 33.81, 100, 3 1 1
2.456, 36.59, 46, 4 1 0
2.465, 36.45, 40, 4 0 2
2.598, 34.52, 32, 1 1 2
2.174, 41.54, 31, 6 0 0
1.389, 67.44, 22, 7 1 3

Crystal structure
a = 13.0448 Å, b = 3.7340 Å, c = 7.5288 Å
α = 90.00°, β = 90.00°, γ = 90.00°
Space group Pmma (No. 51)
Unique sites:
1 Tm 0.0479 0.0000 0.2353
2 Tm 0.2500 0.0000 0.8426
3 Cu 0.0887 0.5000 0.9439
4 Cu 0.2500 0.0000 0.4452
5 Hg 0.1143 0.5000 0.5762
6 Hg 0.2500 0.5000 0.1808